No. 1
Computed powder XRD pattern
Compound: Sr4MgIn2Sb2O12
Radiation: Cu Kα (weighted mean of Kα1 and Kα2)
Structure: DFT lattice parameters and positions (GGA-PBE)

Cell and atoms:
a b c (Å): 5.9664 6.0489 8.8742
angles (deg): 83.46 89.90 89.82
Element x y z (fractional)
Sr (0.0000, 0.0000, 0.0000)
Sr (0.0669, 0.9902, 0.4903)
Sr (0.4676, 0.5209, 0.0415)
Sr (0.5589, 0.4536, 0.4551)
Mg (0.5959, 0.2458, 0.7996)
In (0.0536, 0.4411, 0.6989)
In (0.5278, 0.9933, 0.2392)
Sb (0.0188, 0.4864, 0.2426)
Sb (0.5191, 0.8482, 0.7045)
O (0.0470, 0.4131, 0.0311)
O (0.2171, 0.7246, 0.7644)
O (0.2371, 0.7564, 0.1948)
O (0.2910, 0.2760, 0.2940)
O (0.3417, 0.2416, 0.6613)
O (0.4898, 0.8541, 0.4797)
O (0.5562, 0.1224, 0.0097)
O (0.6897, 0.5575, 0.7474)
O (0.7541, 0.7021, 0.1905)
O (0.8077, 0.2194, 0.3052)
O (0.8785, 0.1377, 0.7224)
O (0.9947, 0.5646, 0.4592)

Principal peaks in the range 2θ = 5–70°, by angle:
d (Å)  2θ (°)  I (rel.)
3.185  28.0  741
3.005  29.7  296
2.983  30.0  522
2.938  30.4  1000
2.510  35.8  208
2.204  40.9  213

No. 2
Computed powder XRD pattern
Compound: MgInPd2
Radiation: Cu Kα (weighted mean of Kα1 and Kα2)
Structure: DFT lattice parameters and positions (GGA-PBE)

Cell and atoms:
a b c (Å): 4.5934 4.5934 4.5934
angles (deg): 60.00 60.00 60.00
Element x y z (fractional)
Mg (0.0000, 0.0000, 0.0000)
In (0.5000, 0.5000, 0.5000)
Pd (0.2500, 0.2500, 0.2500)
Pd (0.7500, 0.7500, 0.7500)

Principal peaks in the range 2θ = 5–70°, by angle:
d (Å)  2θ (°)  I (rel.)
3.751  23.7  160
3.248  27.5  56
2.297  39.2  1000
1.959  46.4  79
1.624  56.7  166
1.490  62.3  32

No. 3
Computed powder XRD pattern
Compound: MgInRh2
Radiation: Cu Kα (weighted mean of Kα1 and Kα2)
Structure: DFT lattice parameters and positions (GGA-PBE)

Cell and atoms:
a b c (Å): 4.5016 4.5016 4.5016
angles (deg): 60.00 60.00 60.00
Element x y z (fractional)
Mg (0.0000, 0.0000, 0.0000)
In (0.5000, 0.5000, 0.5000)
Rh (0.2500, 0.2500, 0.2500)
Rh (0.7500, 0.7500, 0.7500)

Principal peaks in the range 2θ = 5–70°, by angle:
d (Å)  2θ (°)  I (rel.)
3.676  24.2  166
3.183  28.0  50
2.251  40.1  1000
1.919  47.4  81
1.592  57.9  165
1.461  63.7  32